Record 1
Fe7Pt6: theoretical PXRD pattern (λ = 1.5418 Å (Cu Kα)), based on a cell relaxed with GGA-PBE.
Lines closer than 0.1° are merged.

Structural model:
a = 7.9898 Å, b = 9.1647 Å, c = 4.8468 Å
α = 90.00°, β = 90.00°, γ = 90.00°
Space group Pbam (No. 55)
One atom of each set of equivalent atoms:
Fe 0.0000 0.0000 0.0000 x2
Fe 0.0883 0.2568 0.0000 x4
Fe 0.1615 0.8147 0.2550 x8
Pt 0.0481 0.3674 0.5000 x4
Pt 0.1496 0.0820 0.5000 x4
Pt 0.1682 0.5460 0.0000 x4

Top 8 peaks for 10 to 80 degrees two-theta, in order of rising 2θ:
- 2.922 Å, I = 25.4, hkl 2 1 1
- 2.424 Å, I = 47.6, hkl 0 0 2
- 2.262 Å, I = 100.0, hkl 3 1 1
- 2.202 Å, I = 37.1, hkl 1 4 0
- 2.170 Å, I = 78.6, hkl 2 3 1
- 2.071 Å, I = 60.0, hkl 0 4 1
- 2.021 Å, I = 25.7, hkl 2 1 2
- 1.281 Å, I = 32.3, hkl 5 2 2

***

Record 2
Fe2PtS2: theoretical PXRD pattern (λ = 1.5418 Å (Cu Kα)), based on a cell relaxed with GGA-PBE.
Lines closer than 0.1° are merged.

Structural model:
a = 3.4276 Å, b = 3.4276 Å, c = 6.4494 Å
α = 90.00°, β = 90.00°, γ = 90.00°
Space group P4/mmm (No. 123)
One atom of each set of equivalent atoms:
Fe 0.0000 0.0000 0.1824 x2
Pt 0.5000 0.5000 0.0000 x1
S 0.0000 0.5000 0.5000 x2

Top 8 peaks for 10 to 80 degrees two-theta, in order of rising 2θ:
- 6.449 Å, I = 99.7, hkl 0 0 1
- 3.027 Å, I = 47.9, hkl 1 0 1
- 2.424 Å, I = 39.0, hkl 1 1 0
- 2.349 Å, I = 86.5, hkl 1 0 2
- 2.269 Å, I = 100.0, hkl 1 1 1
- 1.821 Å, I = 50.5, hkl 1 0 3
- 1.714 Å, I = 30.8, hkl 2 0 0
- 1.384 Å, I = 31.8, hkl 2 1 2

***

Record 3
Zr2FeSb2Pt: theoretical PXRD pattern (λ = 1.5418 Å (Cu Kα)), based on a cell relaxed with GGA-PBE.
Lines closer than 0.1° are merged.

Structural model:
a = 6.2895 Å, b = 6.2895 Å, c = 12.4431 Å
α = 90.00°, β = 90.00°, γ = 90.00°
Space group I-42d (No. 122)
One atom of each set of equivalent atoms:
Zr 0.2400 0.7500 0.1250 x8
Fe 0.0000 0.0000 0.0000 x4
Sb 0.2315 0.2500 0.1250 x8
Pt 0.0000 0.0000 0.5000 x4

Top 8 peaks for 10 to 80 degrees two-theta, in order of rising 2θ:
- 5.613 Å, I = 11.7, hkl 1 0 1
- 3.618 Å, I = 54.9, hkl 1 1 2
- 2.224 Å, I = 50.2, hkl 2 2 0
- 2.212 Å, I = 100.0, hkl 2 0 4
- 1.894 Å, I = 18.0, hkl 3 1 2
- 1.572 Å, I = 16.2, hkl 4 0 0
- 1.282 Å, I = 32.0, hkl 4 2 4
- 1.275 Å, I = 16.3, hkl 2 2 8

***

Record 4
Pu6Fe: theoretical PXRD pattern (λ = 1.5418 Å (Cu Kα)), based on a cell relaxed with GGA-PBE.
Lines closer than 0.1° are merged.

Structural model:
a = 10.2142 Å, b = 10.2142 Å, c = 5.4105 Å
α = 90.00°, β = 90.00°, γ = 90.00°
Space group I4/mcm (No. 140)
One atom of each set of equivalent atoms:
Pu 0.0954 0.2183 0.0000 x16
Pu 0.0976 0.4024 0.5000 x8
Fe 0.0000 0.0000 0.2500 x4

Top 8 peaks for 10 to 80 degrees two-theta, in order of rising 2θ:
- 2.705 Å, I = 29.9, hkl 0 0 2
- 2.510 Å, I = 100.0, hkl 3 2 1
- 2.252 Å, I = 8.6, hkl 4 1 1
- 2.003 Å, I = 12.8, hkl 5 1 0
- 1.610 Å, I = 9.1, hkl 5 1 2
- 1.521 Å, I = 22.3, hkl 3 2 3
- 1.441 Å, I = 11.1, hkl 6 0 2
- 1.274 Å, I = 12.8, hkl 5 5 2

***

Record 5
RbFeSe2: theoretical PXRD pattern (λ = 1.5418 Å (Cu Kα)), based on a cell relaxed with GGA-PBE.
Lines closer than 0.1° are merged.

Structural model:
a = 5.6597 Å, b = 13.7982 Å, c = 24.0373 Å
α = 90.00°, β = 90.00°, γ = 90.00°
Space group Fddd (No. 70, origin choice 2)
One atom of each set of equivalent atoms:
Rb 0.1250 0.1250 0.3037 x16
Fe 0.1250 0.1250 0.1250 x8
Fe 0.1250 0.1250 0.6250 x8
Se 0.1225 0.2788 0.4292 x32

Top 8 peaks for 10 to 80 degrees two-theta, in order of rising 2θ:
- 5.997 Å, I = 49.8, hkl 0 0 4
- 3.464 Å, I = 31.3, hkl 0 2 6
- 3.260 Å, I = 100.0, hkl 1 3 3
- 3.005 Å, I = 23.1, hkl 0 0 8
- 2.866 Å, I = 79.3, hkl 1 3 5
- 2.311 Å, I = 35.6, hkl 2 0 6
- 1.785 Å, I = 29.6, hkl 2 6 0
- 1.641 Å, I = 25.9, hkl 3 3 5

***

Record 6
Rb6FeSe6: theoretical PXRD pattern (λ = 1.5418 Å (Cu Kα)), based on a cell relaxed with GGA-PBE.
Lines closer than 0.1° are merged.

Structural model:
a = 9.1077 Å, b = 9.8360 Å, c = 12.3675 Å
α = 77.20°, β = 71.70°, γ = 63.63°
Space group P-1 (No. 2)
One atom of each set of equivalent atoms:
Rb 0.0067 0.2582 0.0820 x2
Rb 0.2097 0.0708 0.7939 x2
Rb 0.2304 0.1501 0.4390 x2
Rb 0.2538 0.8016 0.3353 x2
Rb 0.2728 0.4948 0.6168 x2
Rb 0.4281 0.4217 0.1587 x2
Fe 0.4777 0.8616 0.0414 x2
Se 0.0588 0.5496 0.4049 x2
Se 0.1227 0.8747 0.6350 x2
Se 0.2345 0.8233 0.0501 x2
Se 0.3213 0.3587 0.8837 x2
Se 0.3965 0.0676 0.1522 x2
Se 0.4290 0.7702 0.5750 x2

Top 8 peaks for 10 to 80 degrees two-theta, in order of rising 2θ:
- 3.225 Å, I = 38.4, hkl 1 -1 3
- 3.196 Å, I = 38.4, hkl 1 3 0
- 3.159 Å, I = 49.4, hkl -1 2 1
- 3.083 Å, I = 100.0, hkl 1 1 -3
- 3.002 Å, I = 31.1, hkl 2 3 0
- 2.969 Å, I = 63.6, hkl 3 2 1
- 2.928 Å, I = 59.3, hkl -2 1 1
- 2.921 Å, I = 34.3, hkl 0 0 4

***

Record 7
RbFe2Se3: theoretical PXRD pattern (λ = 1.5418 Å (Cu Kα)), based on a cell relaxed with GGA-PBE.
Lines closer than 0.1° are merged.

Structural model:
a = 8.6307 Å, b = 3.6593 Å, c = 9.4739 Å
α = 90.00°, β = 115.05°, γ = 90.00°
Space group P2_1/m (No. 11)
One atom of each set of equivalent atoms:
Rb 0.0124 0.2500 0.2593 x2
Fe 0.4725 0.2500 0.1616 x2
Fe 0.4780 0.7500 0.3932 x2
Se 0.2716 0.7500 0.1353 x2
Se 0.3203 0.7500 0.5606 x2
Se 0.3611 0.2500 0.8775 x2

Top 8 peaks for 10 to 80 degrees two-theta, in order of rising 2θ:
- 7.819 Å, I = 100.0, hkl 1 0 0
- 2.921 Å, I = 34.0, hkl 1 1 1
- 2.789 Å, I = 84.0, hkl 2 1 -1
- 2.636 Å, I = 27.9, hkl 2 1 -2
- 2.233 Å, I = 27.3, hkl 3 1 -2
- 2.021 Å, I = 25.3, hkl 2 1 2
- 1.830 Å, I = 28.3, hkl 0 2 0
- 1.640 Å, I = 22.0, hkl 3 1 -5

***

Record 8
RbSmFeTe3: theoretical PXRD pattern (λ = 1.5418 Å (Cu Kα)), based on a cell relaxed with GGA-PBE.
Lines closer than 0.1° are merged.

Structural model:
a = 11.7163 Å, b = 4.4378 Å, c = 16.4218 Å
α = 90.00°, β = 90.00°, γ = 90.00°
Space group Pnma (No. 62)
One atom of each set of equivalent atoms:
Rb 0.2294 0.2500 0.0043 x4
Sm 0.0145 0.7500 0.2544 x4
Fe 0.2377 0.7500 0.7819 x4
Te 0.0526 0.7500 0.8718 x4
Te 0.0844 0.2500 0.3789 x4
Te 0.2376 0.2500 0.6861 x4

Top 8 peaks for 10 to 80 degrees two-theta, in order of rising 2θ:
- 8.211 Å, I = 91.1, hkl 0 0 2
- 3.527 Å, I = 57.1, hkl 3 0 2
- 3.447 Å, I = 64.2, hkl 0 1 3
- 3.307 Å, I = 100.0, hkl 1 1 3
- 2.971 Å, I = 52.6, hkl 2 1 3
- 2.407 Å, I = 56.1, hkl 2 1 5
- 2.219 Å, I = 39.4, hkl 0 2 0
- 1.938 Å, I = 40.4, hkl 2 0 8

***

Record 9
FeReSn2: theoretical PXRD pattern (λ = 1.5418 Å (Cu Kα)), based on a cell relaxed with GGA-PBE.
Lines closer than 0.1° are merged.

Structural model:
a = 6.5650 Å, b = 6.5650 Å, c = 6.5650 Å
α = 90.00°, β = 90.00°, γ = 90.00°
Space group F-43m (No. 216)
One atom of each set of equivalent atoms:
Fe 0.0000 0.0000 0.0000 x4
Re 0.2500 0.2500 0.7500 x4
Sn 0.0000 0.0000 0.5000 x4
Sn 0.2500 0.2500 0.2500 x4

Top 8 peaks for 10 to 80 degrees two-theta, in order of rising 2θ:
- 3.790 Å, I = 7.7, hkl 1 1 1
- 3.282 Å, I = 8.2, hkl 2 0 0
- 2.321 Å, I = 100.0, hkl 2 2 0
- 1.979 Å, I = 4.2, hkl 3 1 1
- 1.895 Å, I = 2.5, hkl 2 2 2
- 1.641 Å, I = 17.3, hkl 4 0 0
- 1.468 Å, I = 3.4, hkl 4 2 0
- 1.340 Å, I = 35.6, hkl 4 2 2

***

Record 10
Fe7S8: theoretical PXRD pattern (λ = 1.5418 Å (Cu Kα)), based on a cell relaxed with GGA-PBE.
Lines closer than 0.1° are merged.

Structural model:
a = 11.2044 Å, b = 6.6590 Å, c = 11.4579 Å
α = 90.00°, β = 115.81°, γ = 90.00°
Space group C2/c (No. 15)
One atom of each set of equivalent atoms:
Fe 0.0000 0.1987 0.2500 x4
Fe 0.0893 0.3068 0.9698 x8
Fe 0.1064 0.1039 0.4993 x8
Fe 0.2244 0.3981 0.2302 x8
S 0.0117 0.4041 0.1106 x8
S 0.0423 0.0924 0.6543 x8
S 0.2271 0.1497 0.3720 x8
S 0.2340 0.3605 0.8818 x8

Top 8 peaks for 10 to 80 degrees two-theta, in order of rising 2θ:
- 2.861 Å, I = 83.1, hkl 2 2 -1
- 2.796 Å, I = 51.8, hkl 4 0 -2
- 2.535 Å, I = 79.5, hkl 2 2 1
- 1.954 Å, I = 45.4, hkl 4 0 2
- 1.945 Å, I = 77.4, hkl 2 2 3
- 1.887 Å, I = 100.0, hkl 2 2 -5
- 1.842 Å, I = 68.3, hkl 4 0 -6
- 1.627 Å, I = 78.8, hkl 6 2 -3

***

Record 11
Fe2S: theoretical PXRD pattern (λ = 1.5418 Å (Cu Kα)), based on a cell relaxed with GGA-PBE.
Lines closer than 0.1° are merged.

Structural model:
a = 4.7850 Å, b = 4.7850 Å, c = 3.4033 Å
α = 90.00°, β = 90.00°, γ = 90.00°
Space group P4_2/mnm (No. 136)
One atom of each set of equivalent atoms:
Fe 0.1885 0.1885 0.0000 x4
S 0.0000 0.0000 0.5000 x2

Top 8 peaks for 10 to 80 degrees two-theta, in order of rising 2θ:
- 3.384 Å, I = 33.1, hkl 1 1 0
- 2.399 Å, I = 100.0, hkl 1 1 1
- 2.140 Å, I = 39.8, hkl 2 1 0
- 1.812 Å, I = 31.8, hkl 2 1 1
- 1.702 Å, I = 17.7, hkl 0 0 2
- 1.692 Å, I = 13.2, hkl 2 2 0
- 1.444 Å, I = 34.2, hkl 3 0 1
- 1.332 Å, I = 15.0, hkl 2 1 2

***

Record 12
FeS: theoretical PXRD pattern (λ = 1.5418 Å (Cu Kα)), based on a cell relaxed with GGA-PBE.
Lines closer than 0.1° are merged.

Structural model:
a = 5.0667 Å, b = 5.0675 Å, c = 11.6781 Å
α = 90.00°, β = 90.00°, γ = 90.00°
Space group Cmce (No. 64)
One atom of each set of equivalent atoms:
Fe 0.2500 0.1308 0.2500 x8
S 0.0000 0.1193 0.6455 x8

Top 8 peaks for 10 to 80 degrees two-theta, in order of rising 2θ:
- 5.839 Å, I = 100.0, hkl 0 0 2
- 3.054 Å, I = 8.4, hkl 1 1 2
- 2.324 Å, I = 10.1, hkl 2 0 2
- 2.124 Å, I = 14.9, hkl 0 2 3
- 1.913 Å, I = 15.8, hkl 2 0 4
- 1.771 Å, I = 22.5, hkl 2 2 1
- 1.717 Å, I = 11.7, hkl 0 2 5
- 1.544 Å, I = 8.5, hkl 2 0 6